Entry 1:
# RuN
Computed powder XRD pattern, λ = 1.5418 Å (Cu Kα). Input: a cell relaxed with PBE.
Neutral-atom scattering factors, no anomalous dispersion.

Principal peaks in the range 10 to 90 degrees two-theta, in order of falling intensity:
2θ = 34.56°, rel. 100; 2θ = 49.70°, rel. 70; 2θ = 72.91°, rel. 28; 2θ = 83.29°, rel. 27; 2θ = 61.92°, rel. 19; 2θ = 38.80°, rel. 2

Structural model:
Unit cell a=2.9972 b=2.9972 c=5.1853 alpha=90.00 beta=90.00 gamma=120.00
Element x y z (fractional)
Ru: 0.0000 0.0000 0.0000
Ru: 0.0000 0.0000 0.5000
N: 0.3333 0.6667 0.2500
N: 0.6667 0.3333 0.7500

---

Entry 2:
# RuN
Computed powder XRD pattern, λ = 1.5418 Å (Cu Kα). Input: a cell relaxed with PBE.
Neutral-atom scattering factors, no anomalous dispersion.

Principal peaks in the range 10 to 90 degrees two-theta, in order of falling intensity:
2θ = 35.15°, rel. 100; 2θ = 48.84°, rel. 98; 2θ = 32.82°, rel. 34; 2θ = 63.06°, rel. 24; 2θ = 72.93°, rel. 21; 2θ = 83.62°, rel. 20

Structural model:
Unit cell a=2.9484 b=2.9484 c=2.7292 alpha=90.00 beta=90.00 gamma=120.00
Element x y z (fractional)
Ru: 0.0000 0.0000 0.0000
N: 0.3333 0.6667 0.5000

---

Entry 3:
# SrRu7N10
Computed powder XRD pattern, λ = 1.5418 Å (Cu Kα). Input: a cell relaxed with PBE.
Neutral-atom scattering factors, no anomalous dispersion.

Principal peaks in the range 10 to 90 degrees two-theta, in order of falling intensity:
2θ = 28.97°, rel. 100; 2θ = 36.87°, rel. 92; 2θ = 36.51°, rel. 88; 2θ = 12.35°, rel. 80; 2θ = 35.56°, rel. 77; 2θ = 29.39°, rel. 72

Structural model:
Unit cell a=7.3988 b=6.9436 c=10.4728 alpha=90.00 beta=104.47 gamma=90.00
Element x y z (fractional)
Sr: 0.0000 0.0663 0.0000
Sr: 0.0000 0.9337 0.5000
Ru: 0.0041 0.4002 0.6344
Ru: 0.0041 0.5998 0.1344
Ru: 0.2932 0.3666 0.4262
Ru: 0.2932 0.6334 0.9262
Ru: 0.4350 0.3723 0.7385
Ru: 0.4350 0.6277 0.2385
Ru: 0.4995 0.0295 0.3931
Ru: 0.4995 0.9705 0.8931
Ru: 0.6336 0.3615 0.0161
Ru: 0.6336 0.6385 0.5161
Ru: 0.6888 0.0738 0.7084
Ru: 0.6888 0.9262 0.2084
Ru: 0.8009 0.4003 0.3470
Ru: 0.8009 0.5997 0.8470
N: 0.0444 0.4217 0.4591
N: 0.0444 0.5783 0.9591
N: 0.2164 0.4990 0.2626
N: 0.2164 0.5010 0.7626
N: 0.2708 0.0984 0.4281
N: 0.2708 0.9016 0.9281
N: 0.4182 0.0992 0.7241
N: 0.4182 0.9008 0.2241
N: 0.4602 0.4821 0.5760
N: 0.4602 0.5179 0.0760
N: 0.6268 0.0941 0.0543
N: 0.6268 0.9059 0.5543
N: 0.7094 0.3301 0.8458
N: 0.7094 0.6699 0.3458
N: 0.7281 0.1340 0.3429
N: 0.7281 0.8660 0.8429
N: 0.8387 0.4123 0.1708
N: 0.8387 0.5877 0.6708
N: 0.9132 0.1663 0.6722
N: 0.9132 0.8337 0.1722

---

Entry 4:
# Sr2RuN2
Computed powder XRD pattern, λ = 1.5418 Å (Cu Kα). Input: a cell relaxed with PBE.
Neutral-atom scattering factors, no anomalous dispersion.

Principal peaks in the range 10 to 90 degrees two-theta, in order of falling intensity:
2θ = 31.03°, rel. 100; 2θ = 32.18°, rel. 77; 2θ = 56.58°, rel. 19; 2θ = 56.73°, rel. 18; 2θ = 54.47°, rel. 18; 2θ = 42.35°, rel. 15

Structural model:
Unit cell a=6.9330 b=6.9330 c=6.9330 alpha=147.11 beta=146.95 gamma=47.32
Element x y z (fractional)
Sr: 0.1422 0.1422 0.0000
Sr: 0.8578 0.8578 0.0000
Ru: 0.5000 0.5000 0.0000
N: 0.3555 0.3555 0.0000
N: 0.6445 0.6445 0.0000

---

Entry 5:
# Sr4RuN4
Computed powder XRD pattern, λ = 1.5418 Å (Cu Kα). Input: a cell relaxed with PBE.
Neutral-atom scattering factors, no anomalous dispersion.

Principal peaks in the range 10 to 90 degrees two-theta, in order of falling intensity:
2θ = 31.22°, rel. 100; 2θ = 29.85°, rel. 81; 2θ = 34.64°, rel. 59; 2θ = 29.46°, rel. 56; 2θ = 33.99°, rel. 49; 2θ = 30.78°, rel. 46

Structural model:
Unit cell a=6.3905 b=6.4725 c=9.0217 alpha=71.26 beta=80.73 gamma=69.78
Element x y z (fractional)
Sr: 0.2169 0.4543 0.1215
Sr: 0.2180 0.9280 0.3543
Sr: 0.2673 0.0002 0.9358
Sr: 0.2734 0.3025 0.5309
Sr: 0.7266 0.6975 0.4691
Sr: 0.7327 0.9998 0.0642
Sr: 0.7820 0.0720 0.6457
Sr: 0.7831 0.5457 0.8785
Ru: 0.2823 0.6471 0.7436
Ru: 0.7177 0.3529 0.2564
N: 0.0203 0.8074 0.8802
N: 0.0435 0.6767 0.6084
N: 0.4523 0.8626 0.6929
N: 0.4632 0.3509 0.8326
N: 0.5368 0.6491 0.1674
N: 0.5477 0.1374 0.3071
N: 0.9565 0.3233 0.3916
N: 0.9797 0.1926 0.1198

---

Entry 6:
# Sr3Ru3N5
Computed powder XRD pattern, λ = 1.5418 Å (Cu Kα). Input: a cell relaxed with PBE.
Neutral-atom scattering factors, no anomalous dispersion.

Principal peaks in the range 10 to 90 degrees two-theta, in order of falling intensity:
2θ = 32.38°, rel. 100; 2θ = 31.37°, rel. 82; 2θ = 30.40°, rel. 56; 2θ = 32.72°, rel. 37; 2θ = 36.66°, rel. 36; 2θ = 37.22°, rel. 32

Structural model:
Unit cell a=5.9045 b=7.2720 c=9.3391 alpha=110.73 beta=104.86 gamma=93.50
Element x y z (fractional)
Sr: 0.1581 0.3628 0.3895
Sr: 0.1602 0.1919 0.7119
Sr: 0.3228 0.9228 0.1174
Sr: 0.6772 0.0772 0.8826
Sr: 0.8398 0.8081 0.2881
Sr: 0.8419 0.6372 0.6105
Ru: 0.1551 0.4245 0.0904
Ru: 0.3964 0.8245 0.4724
Ru: 0.4057 0.6269 0.7919
Ru: 0.5943 0.3731 0.2081
Ru: 0.6036 0.1755 0.5276
Ru: 0.8449 0.5755 0.9096
N: 0.1370 0.5872 0.8607
N: 0.2407 0.0372 0.4181
N: 0.3165 0.1999 0.0018
N: 0.3387 0.7365 0.6299
N: 0.4156 0.6086 0.2820
N: 0.5844 0.3914 0.7180
N: 0.6613 0.2635 0.3701
N: 0.6835 0.8001 0.9982
N: 0.7593 0.9628 0.5819
N: 0.8630 0.4128 0.1393

---

Entry 7:
# Sr4RuN4
Computed powder XRD pattern, λ = 1.5418 Å (Cu Kα). Input: a cell relaxed with PBE.
Neutral-atom scattering factors, no anomalous dispersion.

Principal peaks in the range 10 to 90 degrees two-theta, in order of falling intensity:
2θ = 27.31°, rel. 100; 2θ = 35.06°, rel. 80; 2θ = 36.09°, rel. 43; 2θ = 32.14°, rel. 33; 2θ = 43.91°, rel. 33; 2θ = 27.86°, rel. 31

Structural model:
Unit cell a=10.6954 b=4.1240 c=16.3128 alpha=90.00 beta=90.00 gamma=90.00
Element x y z (fractional)
Sr: 0.0421 0.2500 0.1720
Sr: 0.0882 0.2500 0.5805
Sr: 0.1461 0.2500 0.9801
Sr: 0.2148 0.2500 0.7655
Sr: 0.2852 0.7500 0.2655
Sr: 0.3539 0.7500 0.4801
Sr: 0.4118 0.7500 0.0805
Sr: 0.4579 0.7500 0.6720
Sr: 0.5421 0.2500 0.3280
Sr: 0.5882 0.2500 0.9195
Sr: 0.6461 0.2500 0.5199
Sr: 0.7148 0.2500 0.7345
Sr: 0.7852 0.7500 0.2345
Sr: 0.8539 0.7500 0.0199
Sr: 0.9118 0.7500 0.4195
Sr: 0.9579 0.7500 0.8280
Ru: 0.1292 0.2500 0.3705
Ru: 0.3708 0.7500 0.8705
Ru: 0.6292 0.2500 0.1295
Ru: 0.8708 0.7500 0.6295
N: 0.0279 0.7500 0.6756
N: 0.0593 0.7500 0.0821
N: 0.1809 0.7500 0.1114
N: 0.1979 0.7500 0.8663
N: 0.3021 0.2500 0.3663
N: 0.3191 0.2500 0.6114
N: 0.4407 0.2500 0.5821
N: 0.4721 0.2500 0.1756
N: 0.5279 0.7500 0.8244
N: 0.5593 0.7500 0.4179
N: 0.6809 0.7500 0.3886
N: 0.6979 0.7500 0.6337
N: 0.8021 0.2500 0.1337
N: 0.8191 0.2500 0.8886
N: 0.9407 0.2500 0.9179
N: 0.9721 0.2500 0.3244

---

Entry 8:
# Sr3RuN3
Computed powder XRD pattern, λ = 1.5418 Å (Cu Kα). Input: a cell relaxed with PBE.
Neutral-atom scattering factors, no anomalous dispersion.

Principal peaks in the range 10 to 90 degrees two-theta, in order of falling intensity:
2θ = 31.29°, rel. 100; 2θ = 28.30°, rel. 51; 2θ = 33.58°, rel. 46; 2θ = 35.07°, rel. 35; 2θ = 49.35°, rel. 25; 2θ = 26.33°, rel. 24

Structural model:
Unit cell a=7.8162 b=7.8162 c=5.3372 alpha=90.00 beta=90.00 gamma=120.00
Element x y z (fractional)
Sr: 0.0932 0.3583 0.2500
Sr: 0.2651 0.9068 0.2500
Sr: 0.3583 0.2651 0.7500
Sr: 0.6417 0.7349 0.2500
Sr: 0.7349 0.0932 0.7500
Sr: 0.9068 0.6417 0.7500
Ru: 0.3333 0.6667 0.7500
Ru: 0.6667 0.3333 0.2500
N: 0.1095 0.4142 0.7500
N: 0.3047 0.8905 0.7500
N: 0.4142 0.3047 0.2500
N: 0.5858 0.6953 0.7500
N: 0.6953 0.1095 0.2500
N: 0.8905 0.5858 0.2500

---

Entry 9:
# Sr5Ru2N6
Computed powder XRD pattern, λ = 1.5418 Å (Cu Kα). Input: a cell relaxed with PBE.
Neutral-atom scattering factors, no anomalous dispersion.

Principal peaks in the range 10 to 90 degrees two-theta, in order of falling intensity:
2θ = 31.27°, rel. 100; 2θ = 32.34°, rel. 91; 2θ = 33.23°, rel. 82; 2θ = 27.50°, rel. 47; 2θ = 29.97°, rel. 40; 2θ = 35.82°, rel. 34

Structural model:
Unit cell a=6.2876 b=6.2876 c=13.2934 alpha=100.50 beta=100.50 gamma=66.53
Element x y z (fractional)
Sr: 0.1167 0.8833 0.7500
Sr: 0.1753 0.6979 0.0014
Sr: 0.2410 0.4412 0.2823
Sr: 0.3021 0.8247 0.4986
Sr: 0.4412 0.2410 0.7823
Sr: 0.5588 0.7590 0.2177
Sr: 0.6979 0.1753 0.5014
Sr: 0.7590 0.5588 0.7177
Sr: 0.8247 0.3021 0.9986
Sr: 0.8833 0.1167 0.2500
Ru: 0.1686 0.3694 0.5584
Ru: 0.3694 0.1686 0.0584
Ru: 0.6306 0.8314 0.9416
Ru: 0.8314 0.6306 0.4416
N: 0.1041 0.1909 0.6424
N: 0.1713 0.2452 0.4206
N: 0.1909 0.1041 0.1424
N: 0.2452 0.1713 0.9206
N: 0.3971 0.4922 0.6240
N: 0.4922 0.3971 0.1240
N: 0.5078 0.6029 0.8760
N: 0.6029 0.5078 0.3760
N: 0.7548 0.8287 0.0794
N: 0.8091 0.8959 0.8576
N: 0.8287 0.7548 0.5794
N: 0.8959 0.8091 0.3576

---

Entry 10:
# Sr3Ru2N4
Computed powder XRD pattern, λ = 1.5418 Å (Cu Kα). Input: a cell relaxed with PBE.
Neutral-atom scattering factors, no anomalous dispersion.

Principal peaks in the range 10 to 90 degrees two-theta, in order of falling intensity:
2θ = 30.28°, rel. 100; 2θ = 29.35°, rel. 59; 2θ = 33.84°, rel. 34; 2θ = 40.09°, rel. 32; 2θ = 40.77°, rel. 28; 2θ = 41.05°, rel. 26

Structural model:
Unit cell a=7.2736 b=7.2736 c=5.6486 alpha=92.34 beta=92.34 gamma=76.38
Element x y z (fractional)
Sr: 0.0979 0.9021 0.7500
Sr: 0.2433 0.5141 0.4570
Sr: 0.4859 0.7567 0.0430
Sr: 0.5141 0.2433 0.9570
Sr: 0.7567 0.4859 0.5430
Sr: 0.9021 0.0979 0.2500
Ru: 0.0768 0.3360 0.9105
Ru: 0.3360 0.0768 0.4105
Ru: 0.6640 0.9232 0.5895
Ru: 0.9232 0.6640 0.0895
N: 0.1058 0.2299 0.5854
N: 0.1993 0.5606 0.9710
N: 0.2299 0.1058 0.0854
N: 0.4394 0.8007 0.5290
N: 0.5606 0.1993 0.4710
N: 0.7701 0.8942 0.9146
N: 0.8007 0.4394 0.0290
N: 0.8942 0.7701 0.4146

---

Entry 11:
# Sr3Ru2N4
Computed powder XRD pattern, λ = 1.5418 Å (Cu Kα). Input: a cell relaxed with PBE.
Neutral-atom scattering factors, no anomalous dispersion.

Principal peaks in the range 10 to 90 degrees two-theta, in order of falling intensity:
2θ = 32.62°, rel. 100; 2θ = 27.41°, rel. 45; 2θ = 35.42°, rel. 35; 2θ = 17.16°, rel. 33; 2θ = 29.81°, rel. 28; 2θ = 38.64°, rel. 27

Structural model:
Unit cell a=6.2581 b=10.4421 c=9.1639 alpha=90.00 beta=90.00 gamma=90.00
Element x y z (fractional)
Sr: 0.1256 0.1546 0.0772
Sr: 0.1256 0.3454 0.4228
Sr: 0.2500 0.0000 0.4054
Sr: 0.2500 0.5000 0.0946
Sr: 0.3744 0.6546 0.4228
Sr: 0.3744 0.8454 0.0772
Sr: 0.6256 0.1546 0.9228
Sr: 0.6256 0.3454 0.5772
Sr: 0.7500 0.0000 0.5946
Sr: 0.7500 0.5000 0.9054
Sr: 0.8744 0.6546 0.5772
Sr: 0.8744 0.8454 0.9228
Ru: 0.1939 0.2500 0.7500
Ru: 0.2500 0.0000 0.7440
Ru: 0.2500 0.5000 0.7560
Ru: 0.3061 0.7500 0.7500
Ru: 0.6939 0.2500 0.2500
Ru: 0.7500 0.0000 0.2560
Ru: 0.7500 0.5000 0.2440
Ru: 0.8061 0.7500 0.2500
N: 0.0185 0.5987 0.3106
N: 0.0185 0.9013 0.1894
N: 0.0940 0.6434 0.8525
N: 0.0940 0.8566 0.6475
N: 0.4060 0.1434 0.6475
N: 0.4060 0.3566 0.8525
N: 0.4815 0.0987 0.1894
N: 0.4815 0.4013 0.3106
N: 0.5185 0.5987 0.6894
N: 0.5185 0.9013 0.8106
N: 0.5940 0.6434 0.1475
N: 0.5940 0.8566 0.3525
N: 0.9060 0.1434 0.3525
N: 0.9060 0.3566 0.1475
N: 0.9815 0.0987 0.8106
N: 0.9815 0.4013 0.6894